AcNd12Dy5: theoretical powder diffraction line list (a wavelength of 1.5418 Å), based on a GGA-PBE-relaxed structure.
Lines closer than 0.1° are merged.

Atomic structure:
a = 10.984 Å, b = 10.984 Å, c = 5.174 Å
α = 90.00°, β = 90.00°, γ = 90.06°
Atoms (fractional coordinates):
Ac 0.000 0.000 0.000
Nd 0.002 0.664 0.000
Nd 0.170 0.170 0.500
Nd 0.170 0.502 0.500
Nd 0.336 0.336 0.000
Nd 0.336 0.998 0.000
Nd 0.498 0.830 0.500
Nd 0.502 0.170 0.500
Nd 0.664 0.002 0.000
Nd 0.664 0.664 0.000
Nd 0.830 0.498 0.500
Nd 0.830 0.830 0.500
Nd 0.998 0.336 0.000
Dy 0.171 0.829 0.500
Dy 0.333 0.667 0.000
Dy 0.500 0.500 0.500
Dy 0.667 0.333 0.000
Dy 0.829 0.171 0.500

Most intense lines, 2θ = 10–80°, by angle:
Position (°2θ), intensity
11.40, 1
29.90, 100
34.66, 51
49.82, 36
59.20, 43
62.11, 12
73.10, 4
73.17, 2



Sm3HoGa2: theoretical powder diffraction line list (a wavelength of 1.5418 Å), based on a GGA-PBE-relaxed structure.
Lines closer than 0.1° are merged.

Atomic structure:
a = 5.077 Å, b = 9.594 Å, c = 6.601 Å
α = 90.00°, β = 90.00°, γ = 90.00°
Atoms (fractional coordinates):
Sm 0.000 0.048 0.000
Sm 0.000 0.331 0.341
Sm 0.000 0.669 0.841
Sm 0.000 0.952 0.500
Sm 0.500 0.177 0.706
Sm 0.500 0.823 0.206
Ho 0.500 0.448 0.046
Ho 0.500 0.552 0.546
Ga 0.000 0.354 0.819
Ga 0.000 0.646 0.319
Ga 0.500 0.147 0.232
Ga 0.500 0.853 0.732

Most intense lines, 2θ = 10–80°, by angle:
Position (°2θ), intensity
28.96, 43
32.35, 42
32.94, 39
33.11, 98
33.71, 100
35.36, 62
49.10, 26
62.45, 27